For AcHo7Er3, the PBE geometry in Alexandria gives the computed XRD peak list in this record (Cu Ka).

abc: 6.966 5.562 9.795
angles: 90.00 108.26 90.00
Element x y z (fractional)
Ac: 0.000 0.000 0.000
Ho: 0.000 0.000 0.500
Ho: 0.148 0.500 0.788
Ho: 0.333 0.500 0.145
Ho: 0.437 0.000 0.334
Ho: 0.563 0.000 0.666
Ho: 0.667 0.500 0.855
Ho: 0.852 0.500 0.212
Er: 0.274 0.500 0.492
Er: 0.500 0.000 0.000
Er: 0.726 0.500 0.508

Main lines, by angle (10° ≤ 2θ ≤ 80°):
2θ/deg, intensity
31.2, 16.5
31.5, 63.1
32.2, 100.0
32.8, 14.0
33.1, 45.4
46.6, 10.6
57.4, 11.1
63.0, 11.1